# 1
The following is a calculated X-ray powder pattern of AlV4Cu3O12. It was derived from a PBE+U-relaxed structure, using Cu Kα (λ = 1.5418 Å).
Neutral-atom scattering factors, no anomalous dispersion.

Cell and atoms:
```
AlV4Cu3O12
1.0
6.337 0.000 0.000
-2.077 6.018 0.000
-2.161 -2.973 5.220
Al V Cu O
1 4 3 12
Direct
0.000 0.000 0.000 Al
0.000 0.000 0.500 V
0.000 0.500 0.000 V
0.500 0.000 0.000 V
0.500 0.500 0.500 V
0.000 0.500 0.500 Cu
0.500 0.000 0.500 Cu
0.500 0.500 0.000 Cu
0.118 0.829 0.296 O
0.172 0.703 0.877 O
0.182 0.304 0.472 O
0.291 0.471 0.169 O
0.300 0.119 0.832 O
0.469 0.175 0.299 O
0.531 0.825 0.701 O
0.700 0.881 0.168 O
0.709 0.529 0.831 O
0.818 0.696 0.528 O
0.828 0.297 0.123 O
0.882 0.171 0.704 O
```

Largest 8 diffraction maxima, low angle first, 10 to 80 degrees two-theta:
two_theta  I (rel.)
34.33  100.0
34.49  96.2
34.58  47.7
34.69  45.8
49.42  58.4
49.86  28.5
61.54  24.7
61.68  36.2



# 2
The following is a calculated X-ray powder pattern of Li9Mn2Co5O16. It was derived from a PBE+U-relaxed structure, using Cu Kα (λ = 1.5418 Å).
Neutral-atom scattering factors, no anomalous dispersion.

Cell and atoms:
```
Li9Mn2Co5O16
1.0
19.278 -1.443 0.000
19.278 1.443 0.000
-0.089 0.000 5.198
Li Mn Co O
9 2 5 16
Direct
0.000 0.000 0.000 Li
0.129 0.129 0.384 Li
0.254 0.254 0.761 Li
0.381 0.381 0.148 Li
0.441 0.441 0.822 Li
0.500 0.500 0.497 Li
0.628 0.628 0.883 Li
0.755 0.755 0.261 Li
0.880 0.880 0.641 Li
0.191 0.191 0.073 Mn
0.566 0.566 0.194 Mn
0.065 0.065 0.693 Co
0.317 0.317 0.450 Co
0.691 0.691 0.574 Co
0.817 0.817 0.950 Co
0.941 0.941 0.323 Co
0.037 0.037 0.330 O
0.095 0.095 0.057 O
0.163 0.163 0.702 O
0.220 0.220 0.444 O
0.288 0.288 0.104 O
0.346 0.346 0.795 O
0.413 0.413 0.467 O
0.469 0.469 0.179 O
0.537 0.537 0.829 O
0.594 0.594 0.564 O
0.662 0.662 0.209 O
0.720 0.720 0.937 O
0.788 0.788 0.605 O
0.845 0.845 0.296 O
0.914 0.914 0.035 O
0.968 0.968 0.613 O
```

Largest 8 diffraction maxima, low angle first, 10 to 80 degrees two-theta:
two_theta  I (rel.)
18.41  100.0
34.91  17.1
36.22  25.1
42.27  30.2
44.04  53.9
47.50  10.0
62.53  15.3
62.84  15.6



# 3
The following is a calculated X-ray powder pattern of MnAl2O4. It was derived from a PBE+U-relaxed structure, using Cu Kα (λ = 1.5418 Å).
Neutral-atom scattering factors, no anomalous dispersion.

Cell and atoms:
```
MnAl2O4
1.0
0.000 4.153 4.153
4.153 0.000 4.153
4.153 4.153 0.000
Mn Al O
2 4 8
Direct
0.125 0.125 0.125 Mn
0.875 0.875 0.875 Mn
0.000 0.500 0.500 Al
0.500 0.000 0.500 Al
0.500 0.500 0.000 Al
0.500 0.500 0.500 Al
0.267 0.267 0.267 O
0.267 0.267 0.700 O
0.267 0.700 0.267 O
0.300 0.733 0.733 O
0.700 0.267 0.267 O
0.733 0.300 0.733 O
0.733 0.733 0.300 O
0.733 0.733 0.733 O
```

Largest 8 diffraction maxima, low angle first, 10 to 80 degrees two-theta:
two_theta  I (rel.)
30.44  69.7
35.86  100.0
43.59  11.0
47.73  7.7
54.09  20.2
57.67  46.6
63.34  52.5
74.98  11.3



# 4
The following is a calculated X-ray powder pattern of Al9Fe2Si4O24. It was derived from a PBE+U-relaxed structure, using Cu Kα (λ = 1.5418 Å).
Neutral-atom scattering factors, no anomalous dispersion.

Cell and atoms:
```
Al9Fe2Si4O24
1.0
3.945 -8.389 0.000
3.945 8.389 0.000
-0.071 0.000 5.710
Al Fe Si O
9 2 4 24
Direct
0.000 0.000 0.000 Al
0.151 0.325 0.737 Al
0.324 0.676 0.500 Al
0.325 0.151 0.737 Al
0.325 0.675 0.000 Al
0.675 0.325 0.000 Al
0.675 0.849 0.263 Al
0.676 0.324 0.500 Al
0.849 0.675 0.263 Al
0.382 0.382 0.260 Fe
0.618 0.618 0.740 Fe
0.031 0.701 0.758 Si
0.299 0.969 0.242 Si
0.701 0.031 0.758 Si
0.969 0.299 0.242 Si
0.088 0.911 0.230 O
0.089 0.912 0.770 O
0.093 0.414 0.481 O
0.096 0.419 0.012 O
0.226 0.728 0.751 O
0.232 0.232 0.966 O
0.257 0.257 0.537 O
0.272 0.774 0.249 O
0.377 0.578 0.751 O
0.414 0.093 0.481 O
0.419 0.096 0.012 O
0.422 0.623 0.249 O
0.578 0.377 0.751 O
0.581 0.904 0.988 O
0.586 0.907 0.519 O
0.623 0.422 0.249 O
0.728 0.226 0.751 O
0.743 0.743 0.463 O
0.768 0.768 0.034 O
0.774 0.272 0.249 O
0.904 0.581 0.988 O
0.907 0.586 0.519 O
0.911 0.088 0.230 O
0.912 0.089 0.770 O
```

Largest 8 diffraction maxima, low angle first, 10 to 80 degrees two-theta:
two_theta  I (rel.)
29.66  79.2
32.91  70.0
37.02  61.5
37.27  72.1
37.83  99.8
45.40  53.3
66.31  74.6
66.95  100.0



# 5
The following is a calculated X-ray powder pattern of MgMn4Zn2O8. It was derived from a PBE+U-relaxed structure, using Cu Kα (λ = 1.5418 Å).
Neutral-atom scattering factors, no anomalous dispersion.

Cell and atoms:
```
MgMn4Zn2O8
1.0
6.215 0.000 0.000
-2.940 5.522 0.000
-2.947 -1.975 5.176
Mg Mn Zn O
1 4 2 8
Direct
0.000 0.000 0.000 Mg
0.251 0.843 0.661 Mn
0.266 0.776 0.204 Mn
0.708 0.775 0.200 Mn
0.728 0.321 0.143 Mn
0.491 0.425 0.564 Zn
0.989 0.282 0.700 Zn
0.205 0.034 0.384 O
0.233 0.093 0.855 O
0.243 0.583 0.449 O
0.272 0.646 0.900 O
0.704 0.076 0.340 O
0.725 0.529 0.394 O
0.755 0.132 0.898 O
0.781 0.609 0.950 O
```

Largest 8 diffraction maxima, low angle first, 10 to 80 degrees two-theta:
two_theta  I (rel.)
28.46  28.2
28.77  24.7
32.78  43.1
32.84  100.0
33.02  41.4
34.14  33.6
34.34  38.5
58.88  20.9